# 1
Starting from the PBE geometry in Alexandria, the X-ray powder pattern of Na2InRu was computed for Cu Kα (weighted mean of Kα1 and Kα2).
Lines closer than 0.1° are merged.

Top 8 peaks for 2θ = 10–90°, low angle first:
h k l  2theta  d_spacing  I/Imax
2 0 0  21.37  4.157  100
2 2 0  30.41  2.940  100
1 1 2  36.68  2.450  85
4 0 0  43.54  2.079  36
3 1 2  48.36  1.882  76
4 2 0  49.00  1.859  23
3 3 2  58.20  1.585  21
5 1 2  67.09  1.395  27

Cell and atoms:
```
data_Na2InRu
_space_group_name_H-M_alt 'I -4 2 d'
_space_group_IT_number 122
_space_group_name_Hall 'I -4 2bw'
_cell_length_a 8.3143
_cell_length_b 8.3143
_cell_length_c 5.3909
_cell_angle_alpha 90.00
_cell_angle_beta 90.00
_cell_angle_gamma 90.00
loop_
_atom_site_label
_atom_site_type_symbol
_atom_site_fract_x
_atom_site_fract_y
_atom_site_fract_z
_atom_site_occupancy
Na1 Na 0.2276 0.2500 0.1250 1
In1 In 0.0000 0.0000 0.5000 1
Ru1 Ru 0.0000 0.0000 0.0000 1
```


# 2
Starting from the PBE geometry in Alexandria, the X-ray powder pattern of Na5In2S5 was computed for Cu Kα (weighted mean of Kα1 and Kα2).
Lines closer than 0.1° are merged.

Top 8 peaks for 2θ = 10–90°, low angle first:
h k l  2theta  d_spacing  I/Imax
2 0 0  14.10  6.280  77
2 0 -2  17.86  4.965  78
1 1 0  23.34  3.812  89
3 1 0  30.91  2.893  60
3 1 -2  31.72  2.821  100
2 0 3  31.95  2.802  61
3 1 1  33.70  2.659  54
5 1 1  45.55  1.991  65

Cell and atoms:
```
data_Na5In2S5
_space_group_name_H-M_alt 'C 1 2/m 1'
_space_group_IT_number 12
_space_group_name_Hall '-C 2y'
_cell_length_a 13.2168
_cell_length_b 4.0007
_cell_length_c 11.5355
_cell_angle_alpha 90.00
_cell_angle_beta 108.13
_cell_angle_gamma 90.00
loop_
_atom_site_label
_atom_site_type_symbol
_atom_site_fract_x
_atom_site_fract_y
_atom_site_fract_z
_atom_site_occupancy
Na1 Na 0.0000 0.0000 0.0000 1
Na2 Na 0.1568 0.0000 0.5519 1
Na3 Na 0.2395 0.0000 0.8655 1
In1 In 0.0425 0.5000 0.2903 1
S1 S 0.0000 0.5000 0.5000 1
S2 S 0.1058 0.5000 0.9030 1
S3 S 0.1756 0.0000 0.3003 1
```


# 3
Starting from the PBE geometry in Alexandria, the X-ray powder pattern of NaIn3S5 was computed for Cu Kα (weighted mean of Kα1 and Kα2).
Lines closer than 0.1° are merged.

Top 8 peaks for 2θ = 10–90°, low angle first:
h k l  2theta  d_spacing  I/Imax
1 2 0  12.89  6.866  100
2 4 0  25.95  3.433  71
2 0 1  27.13  3.287  57
1 3 1  29.28  3.051  70
3 1 1  31.96  2.800  81
3 2 1  33.38  2.684  88
5 3 1  46.04  1.971  89
0 8 1  50.57  1.805  47

Cell and atoms:
```
data_NaIn3S5
_space_group_name_H-M_alt 'P b a m'
_space_group_IT_number 55
_space_group_name_Hall '-P 2 2ab'
_cell_length_a 12.6442
_cell_length_b 16.3528
_cell_length_c 3.8484
_cell_angle_alpha 90.00
_cell_angle_beta 90.00
_cell_angle_gamma 90.00
loop_
_atom_site_label
_atom_site_type_symbol
_atom_site_fract_x
_atom_site_fract_y
_atom_site_fract_z
_atom_site_occupancy
Na1 Na 0.2484 0.1272 0.0000 1
In1 In 0.0000 0.0000 0.0000 1
In2 In 0.0000 0.5000 0.5000 1
In3 In 0.0384 0.3028 0.0000 1
In4 In 0.2078 0.8776 0.5000 1
S1 S 0.0758 0.8426 0.0000 1
S2 S 0.0844 0.6415 0.5000 1
S3 S 0.1364 0.4451 0.0000 1
S4 S 0.1390 0.0252 0.5000 1
S5 S 0.1687 0.2543 0.5000 1
```


# 4
Starting from the PBE geometry in Alexandria, the X-ray powder pattern of Na3ScIn3S8 was computed for Cu Kα (weighted mean of Kα1 and Kα2).
Lines closer than 0.1° are merged.

Top 8 peaks for 2θ = 10–90°, low angle first:
h k l  2theta  d_spacing  I/Imax
0 0 1  12.87  6.879  85
4 0 -1  27.58  3.234  26
4 0 0  32.38  2.764  100
2 2 -3  41.20  2.191  19
2 2 2  44.72  2.026  35
0 4 0  48.14  1.890  31
6 2 -3  50.04  1.823  15
4 4 0  59.21  1.560  16

Cell and atoms:
```
data_Na3ScIn3S8
_space_group_name_H-M_alt 'C 1 2/m 1'
_space_group_IT_number 12
_space_group_name_Hall '-C 2y'
_cell_length_a 13.0985
_cell_length_b 7.5605
_cell_length_c 8.1483
_cell_angle_alpha 90.00
_cell_angle_beta 122.41
_cell_angle_gamma 90.00
loop_
_atom_site_label
_atom_site_type_symbol
_atom_site_fract_x
_atom_site_fract_y
_atom_site_fract_z
_atom_site_occupancy
Na1 Na 0.0000 0.0000 0.0000 1
Na2 Na 0.2500 0.2500 0.0000 1
Sc1 Sc 0.0000 0.0000 0.5000 1
In1 In 0.0000 0.5000 0.5000 1
In2 In 0.2500 0.2500 0.5000 1
S1 S 0.0098 0.2455 0.2844 1
S2 S 0.2354 0.0000 0.7155 1
S3 S 0.2400 0.5000 0.7182 1
```


# 5
Starting from the PBE geometry in Alexandria, the X-ray powder pattern of Na2In2SiS6 was computed for Cu Kα (weighted mean of Kα1 and Kα2).
Lines closer than 0.1° are merged.

Top 8 peaks for 2θ = 10–90°, low angle first:
h k l  2theta  d_spacing  I/Imax
1 1 0  13.49  6.565  100
1 1 2  21.99  4.043  21
0 2 1  23.51  3.784  26
2 0 2  24.74  3.599  25
3 1 -2  25.89  3.441  38
2 2 -2  28.66  3.115  24
4 0 -2  29.94  2.985  20
1 1 -4  30.93  2.891  20

Cell and atoms:
```
data_Na2In2SiS6
_space_group_name_H-M_alt 'C 1 c 1'
_space_group_IT_number 9
_space_group_name_Hall 'C -2yc'
_cell_length_a 12.1367
_cell_length_b 7.9888
_cell_length_c 12.4295
_cell_angle_alpha 90.00
_cell_angle_beta 108.32
_cell_angle_gamma 90.00
loop_
_atom_site_label
_atom_site_type_symbol
_atom_site_fract_x
_atom_site_fract_y
_atom_site_fract_z
_atom_site_occupancy
Na1 Na 0.0000 0.0712 0.0000 1
Na2 Na 0.2215 0.2943 0.6807 1
In1 In 0.0428 0.4103 0.3179 1
In2 In 0.3622 0.0507 0.0164 1
Si1 Si 0.2976 0.2138 0.2598 1
S1 S 0.0239 0.2787 0.4910 1
S2 S 0.2242 0.0043 0.3194 1
S3 S 0.2252 0.2311 0.0800 1
S4 S 0.2554 0.4394 0.3347 1
S5 S 0.4216 0.2059 0.6334 1
S6 S 0.4835 0.2163 0.3093 1
```


# 6
Starting from the PBE geometry in Alexandria, the X-ray powder pattern of NaInSiS4 was computed for Cu Kα (weighted mean of Kα1 and Kα2).
Lines closer than 0.1° are merged.

Top 8 peaks for 2θ = 10–90°, low angle first:
h k l  2theta  d_spacing  I/Imax
1 1 0  13.63  6.497  100
2 0 0  22.88  3.887  63
1 3 0  25.32  3.518  52
1 1 2  27.66  3.225  92
2 2 1  30.02  2.977  45
0 4 2  38.92  2.314  47
3 3 0  41.70  2.166  39
2 4 2  45.62  1.988  92

Cell and atoms:
```
data_NaInSiS4
_space_group_name_H-M_alt 'C m c m'
_space_group_IT_number 63
_space_group_name_Hall '-C 2c 2'
_cell_length_a 7.7736
_cell_length_b 11.8338
_cell_length_c 7.4301
_cell_angle_alpha 90.00
_cell_angle_beta 90.00
_cell_angle_gamma 90.00
loop_
_atom_site_label
_atom_site_type_symbol
_atom_site_fract_x
_atom_site_fract_y
_atom_site_fract_z
_atom_site_occupancy
Na1 Na 0.0000 0.0000 0.0000 1
In1 In 0.0000 0.3663 0.2500 1
Si1 Si 0.0000 0.3624 0.7500 1
S1 S 0.0000 0.2478 0.5269 1
S2 S 0.2169 0.4759 0.7500 1
```